This entry pairs a crystal structure of Li5Ac2Hg12 with its calculated PXRD pattern. Radiation: Cu Ka. Structure: a crystal structure in Alexandria, relaxed with GGA-PBE.
Neutral-atom scattering factors, no anomalous dispersion.

Most intense lines, 2θ from 10° to 90°, sorted by position:
2θ = 17.76°, 4.993 Å, I = 18
2θ = 23.60°, 3.770 Å, I = 21
2θ = 27.90°, 3.197 Å, I = 42
2θ = 31.09°, 2.877 Å, I = 78
2θ = 34.98°, 2.565 Å, I = 30
2θ = 35.73°, 2.513 Å, I = 100
2θ = 35.97°, 2.496 Å, I = 16
2θ = 40.18°, 2.244 Å, I = 29
2θ = 42.21°, 2.141 Å, I = 13
2θ = 47.32°, 1.921 Å, I = 14
2θ = 47.45°, 1.916 Å, I = 16
2θ = 63.23°, 1.471 Å, I = 13

Crystal structure
Cell: 9.9860 9.9860 15.3895 Å, 90.00 90.00 120.00°
Space group R-3m (No. 166, hexagonal axes)
Symmetry-distinct sites (fractional):
Li (0.0000, 0.0000, 0.0963) [6 per cell]
Li (0.0000, 0.5000, 0.5000) [9 per cell]
Ac (0.0000, 0.0000, 0.3482) [6 per cell]
Hg (0.0000, 0.2920, 0.0000) [18 per cell]
Hg (0.0296, 0.5148, 0.8549) [18 per cell]

=====

This entry pairs a crystal structure of Li2Ac2Hg with its calculated PXRD pattern. Radiation: Cu Ka. Structure: a crystal structure in Alexandria, relaxed with GGA-PBE.
Neutral-atom scattering factors, no anomalous dispersion.

Most intense lines, 2θ from 10° to 90°, sorted by position:
2θ = 16.60°, 5.340 Å, I = 22
2θ = 23.90°, 3.723 Å, I = 54
2θ = 27.15°, 3.284 Å, I = 47
2θ = 29.52°, 3.025 Å, I = 100
2θ = 31.99°, 2.797 Å, I = 68
2θ = 33.57°, 2.670 Å, I = 33
2θ = 34.55°, 2.596 Å, I = 21
2θ = 38.78°, 2.322 Å, I = 31
2θ = 43.69°, 2.072 Å, I = 27
2θ = 52.21°, 1.752 Å, I = 27
2θ = 54.30°, 1.690 Å, I = 25
2θ = 55.84°, 1.647 Å, I = 27

Crystal structure
Cell: 7.344 7.344 10.679 Å, 90.00 90.00 90.00°
Space group P4/mnc (No. 128)
Symmetry-distinct sites (fractional):
Li (0.133, 0.367, 0.250) [8 per cell]
Ac (0.181, 0.681, 0.000) [8 per cell]
Hg (0.000, 0.000, 0.250) [4 per cell]

=====

This entry pairs a crystal structure of Li2Ac2Hg with its calculated PXRD pattern. Radiation: Cu Ka. Structure: a crystal structure in Alexandria, relaxed with GGA-PBE.
Neutral-atom scattering factors, no anomalous dispersion.

Most intense lines, 2θ from 10° to 90°, sorted by position:
2θ = 19.24°, 4.614 Å, I = 63
2θ = 22.98°, 3.871 Å, I = 43
2θ = 26.20°, 3.401 Å, I = 22
2θ = 28.80°, 3.100 Å, I = 92
2θ = 29.00°, 3.079 Å, I = 31
2θ = 29.70°, 3.008 Å, I = 100
2θ = 30.93°, 2.891 Å, I = 23
2θ = 32.35°, 2.767 Å, I = 19
2θ = 34.42°, 2.605 Å, I = 48
2θ = 36.17°, 2.483 Å, I = 24
2θ = 36.57°, 2.457 Å, I = 27
2θ = 50.49°, 1.808 Å, I = 26

Crystal structure
Cell: 11.270 5.211 11.576 Å, 90.00 118.20 90.00°
Space group C2/m (No. 12)
Symmetry-distinct sites (fractional):
Li (0.014, 0.000, 0.119) [4 per cell]
Li (0.147, 0.000, 0.551) [4 per cell]
Ac (0.008, 0.500, 0.320) [4 per cell]
Ac (0.204, 0.500, 0.102) [4 per cell]
Hg (0.233, 0.000, 0.355) [4 per cell]

=====

This entry pairs a crystal structure of Li4Ac3Hg2 with its calculated PXRD pattern. Radiation: Cu Ka. Structure: a crystal structure in Alexandria, relaxed with GGA-PBE.
Neutral-atom scattering factors, no anomalous dispersion.

Most intense lines, 2θ from 10° to 90°, sorted by position:
2θ = 15.44°, 5.741 Å, I = 49
2θ = 19.39°, 4.578 Å, I = 31
2θ = 20.04°, 4.432 Å, I = 65
2θ = 28.96°, 3.083 Å, I = 32
2θ = 30.93°, 2.891 Å, I = 27
2θ = 31.12°, 2.874 Å, I = 100
2θ = 31.24°, 2.863 Å, I = 95
2θ = 34.87°, 2.573 Å, I = 78
2θ = 35.17°, 2.551 Å, I = 44
2θ = 47.73°, 1.905 Å, I = 32
2θ = 48.37°, 1.882 Å, I = 26
2θ = 60.63°, 1.527 Å, I = 23

Crystal structure
Cell: 11.630 5.103 9.731 Å, 90.00 116.97 90.00°
Space group C2/m (No. 12)
Symmetry-distinct sites (fractional):
Li (0.026, 0.000, 0.361) [4 per cell]
Li (0.213, 0.500, 0.050) [4 per cell]
Ac (0.000, 0.000, 0.000) [2 per cell]
Ac (0.178, 0.500, 0.648) [4 per cell]
Hg (0.083, 0.500, 0.259) [4 per cell]

=====

This entry pairs a crystal structure of LiAcHg4 with its calculated PXRD pattern. Radiation: Cu Ka. Structure: a crystal structure in Alexandria, relaxed with GGA-PBE.
Neutral-atom scattering factors, no anomalous dispersion.

Most intense lines, 2θ from 10° to 90°, sorted by position:
2θ = 23.21°, 3.832 Å, I = 31
2θ = 25.91°, 3.439 Å, I = 31
2θ = 30.19°, 2.960 Å, I = 48
2θ = 30.57°, 2.924 Å, I = 100
2θ = 34.05°, 2.633 Å, I = 22
2θ = 34.53°, 2.598 Å, I = 40
2θ = 37.10°, 2.423 Å, I = 35
2θ = 38.74°, 2.325 Å, I = 40
2θ = 48.19°, 1.888 Å, I = 21
2θ = 50.53°, 1.806 Å, I = 25
2θ = 59.29°, 1.559 Å, I = 21
2θ = 62.64°, 1.483 Å, I = 27

Crystal structure
Cell: 10.838 10.838 11.215 Å, 90.00 90.00 90.00°
Space group I4/mmm (No. 139)
Symmetry-distinct sites (fractional):
Li (0.000, 0.192, 0.000) [8 per cell]
Ac (0.000, 0.000, 0.349) [4 per cell]
Ac (0.000, 0.500, 0.250) [4 per cell]
Hg (0.128, 0.321, 0.500) [16 per cell]
Hg (0.168, 0.168, 0.187) [16 per cell]

=====

This entry pairs a crystal structure of LiAcMg2Hg2 with its calculated PXRD pattern. Radiation: Cu Ka. Structure: a crystal structure in Alexandria, relaxed with GGA-PBE.
Neutral-atom scattering factors, no anomalous dispersion.

Most intense lines, 2θ from 10° to 90°, sorted by position:
2θ = 12.08°, 7.328 Å, I = 12
2θ = 24.22°, 3.675 Å, I = 100
2θ = 32.26°, 2.775 Å, I = 58
2θ = 36.64°, 2.453 Å, I = 50
2θ = 42.70°, 2.118 Å, I = 21
2θ = 44.42°, 2.040 Å, I = 25
2θ = 49.61°, 1.838 Å, I = 18
2θ = 58.89°, 1.568 Å, I = 18
2θ = 63.23°, 1.471 Å, I = 17
2θ = 63.37°, 1.468 Å, I = 15
2θ = 65.97°, 1.416 Å, I = 9
2θ = 70.14°, 1.342 Å, I = 10

Crystal structure
Cell: 4.9050 4.9050 7.3281 Å, 90.00 90.00 120.00°
Space group P-3m1 (No. 164)
Symmetry-distinct sites (fractional):
Li (0.0000, 0.0000, 0.0000) [1 per cell]
Ac (0.0000, 0.0000, 0.5000) [1 per cell]
Mg (0.3333, 0.6667, 0.1569) [2 per cell]
Hg (0.3333, 0.6667, 0.7604) [2 per cell]

=====

This entry pairs a crystal structure of LiAc2Mg12Hg3 with its calculated PXRD pattern. Radiation: Cu Ka. Structure: a crystal structure in Alexandria, relaxed with GGA-PBE.
Neutral-atom scattering factors, no anomalous dispersion.

Most intense lines, 2θ from 10° to 90°, sorted by position:
2θ = 14.17°, 6.249 Å, I = 71
2θ = 17.71°, 5.009 Å, I = 75
2θ = 19.09°, 4.649 Å, I = 30
2θ = 27.02°, 3.300 Å, I = 73
2θ = 28.16°, 3.169 Å, I = 36
2θ = 30.26°, 2.954 Å, I = 100
2θ = 30.55°, 2.926 Å, I = 26
2θ = 34.60°, 2.593 Å, I = 59
2θ = 35.87°, 2.504 Å, I = 90
2θ = 43.80°, 2.067 Å, I = 27
2θ = 53.58°, 1.711 Å, I = 30
2θ = 66.18°, 1.412 Å, I = 28

Crystal structure
Cell: 6.8421 6.8421 37.4967 Å, 90.00 90.00 120.00°
Space group R-3m (No. 166, hexagonal axes)
Symmetry-distinct sites (fractional):
Li (0.0000, 0.0000, 0.0000) [3 per cell]
Ac (0.0000, 0.0000, 0.3616) [6 per cell]
Mg (0.9996, 0.4998, 0.3884) [18 per cell]
Mg (0.0330, 0.5165, 0.1146) [18 per cell]
Hg (0.0000, 0.5000, 0.5000) [9 per cell]

=====

This entry pairs a crystal structure of Li2AcMg2Hg with its calculated PXRD pattern. Radiation: Cu Ka. Structure: a crystal structure in Alexandria, relaxed with GGA-PBE.
Neutral-atom scattering factors, no anomalous dispersion.

Most intense lines, 2θ from 10° to 90°, sorted by position:
2θ = 14.79°, 5.989 Å, I = 68
2θ = 24.56°, 3.624 Å, I = 49
2θ = 28.79°, 3.101 Å, I = 100
2θ = 29.84°, 2.994 Å, I = 24
2θ = 35.01°, 2.563 Å, I = 33
2θ = 38.20°, 2.356 Å, I = 29
2θ = 39.02°, 2.308 Å, I = 29
2θ = 46.65°, 1.947 Å, I = 29
2θ = 52.32°, 1.749 Å, I = 20
2θ = 59.04°, 1.565 Å, I = 27
2θ = 59.64°, 1.550 Å, I = 14
2θ = 75.56°, 1.258 Å, I = 14

Crystal structure
Cell: 5.126 5.126 11.977 Å, 90.00 90.00 90.00°
Space group I4/mmm (No. 139)
Symmetry-distinct sites (fractional):
Li (0.000, 0.000, 0.205) [4 per cell]
Ac (0.000, 0.000, 0.500) [2 per cell]
Mg (0.000, 0.500, 0.250) [4 per cell]
Hg (0.000, 0.000, 0.000) [2 per cell]

=====

This entry pairs a crystal structure of Li2Ac3Hg2Pb4 with its calculated PXRD pattern. Radiation: Cu Ka. Structure: a crystal structure in Alexandria, relaxed with GGA-PBE.
Neutral-atom scattering factors, no anomalous dispersion.

Most intense lines, 2θ from 10° to 90°, sorted by position:
2θ = 21.04°, 4.222 Å, I = 18
2θ = 23.17°, 3.838 Å, I = 30
2θ = 26.36°, 3.381 Å, I = 54
2θ = 30.31°, 2.949 Å, I = 100
2θ = 35.52°, 2.527 Å, I = 98
2θ = 39.64°, 2.274 Å, I = 25
2θ = 44.79°, 2.023 Å, I = 27
2θ = 47.37°, 1.919 Å, I = 30
2θ = 54.22°, 1.692 Å, I = 20
2θ = 58.42°, 1.580 Å, I = 18
2θ = 60.58°, 1.528 Å, I = 29
2θ = 63.78°, 1.459 Å, I = 18

Crystal structure
Cell: 5.0547 5.0547 15.9629 Å, 90.00 90.00 120.00°
Space group P-3m1 (No. 164)
Symmetry-distinct sites (fractional):
Li (0.3333, 0.6667, 0.0678) [2 per cell]
Ac (0.0000, 0.0000, 0.2185) [2 per cell]
Ac (0.0000, 0.0000, 0.5000) [1 per cell]
Hg (0.3333, 0.6667, 0.6759) [2 per cell]
Pb (0.3333, 0.6667, 0.3826) [2 per cell]
Pb (0.3333, 0.6667, 0.8866) [2 per cell]

=====

This entry pairs a crystal structure of LiAc2Hg2Pd4 with its calculated PXRD pattern. Radiation: Cu Ka. Structure: a crystal structure in Alexandria, relaxed with GGA-PBE.
Neutral-atom scattering factors, no anomalous dispersion.

Most intense lines, 2θ from 10° to 90°, sorted by position:
2θ = 16.53°, 5.363 Å, I = 8
2θ = 20.26°, 4.384 Å, I = 6
2θ = 26.29°, 3.390 Å, I = 11
2θ = 33.41°, 2.682 Å, I = 100
2θ = 37.52°, 2.397 Å, I = 38
2θ = 41.18°, 2.192 Å, I = 11
2θ = 42.99°, 2.104 Å, I = 12
2θ = 54.09°, 1.695 Å, I = 16
2θ = 56.93°, 1.618 Å, I = 17
2θ = 65.10°, 1.433 Å, I = 28
2θ = 70.16°, 1.341 Å, I = 14
2θ = 80.04°, 1.199 Å, I = 6

Crystal structure
Cell: 6.780 6.780 8.768 Å, 90.00 90.00 90.00°
Space group I4/mmm (No. 139)
Symmetry-distinct sites (fractional):
Li (0.000, 0.000, 0.000) [2 per cell]
Ac (0.000, 0.500, 0.250) [4 per cell]
Hg (0.000, 0.000, 0.291) [4 per cell]
Pd (0.232, 0.232, 0.500) [8 per cell]

=====

This entry pairs a crystal structure of LiAcHg2Pd2 with its calculated PXRD pattern. Radiation: Cu Ka. Structure: a crystal structure in Alexandria, relaxed with GGA-PBE.
Neutral-atom scattering factors, no anomalous dispersion.

Most intense lines, 2θ from 10° to 90°, sorted by position:
2θ = 17.19°, 5.158 Å, I = 50
2θ = 18.42°, 4.816 Å, I = 39
2θ = 28.93°, 3.086 Å, I = 67
2θ = 30.75°, 2.908 Å, I = 30
2θ = 32.89°, 2.723 Å, I = 100
2θ = 34.78°, 2.579 Å, I = 40
2θ = 37.34°, 2.408 Å, I = 30
2θ = 47.20°, 1.925 Å, I = 37
2θ = 48.62°, 1.873 Å, I = 63
2θ = 56.32°, 1.634 Å, I = 22
2θ = 59.95°, 1.543 Å, I = 34
2θ = 88.87°, 1.101 Å, I = 24

Crystal structure
Cell: 5.446 5.446 10.317 Å, 90.00 90.00 90.00°
Space group I4/mmm (No. 139)
Symmetry-distinct sites (fractional):
Li (0.000, 0.000, 0.000) [2 per cell]
Ac (0.000, 0.000, 0.500) [2 per cell]
Hg (0.000, 0.500, 0.250) [4 per cell]
Pd (0.000, 0.000, 0.229) [4 per cell]

=====

This entry pairs a crystal structure of LiAcHg2S4 with its calculated PXRD pattern. Radiation: Cu Ka. Structure: a crystal structure in Alexandria, relaxed with GGA-PBE.
Neutral-atom scattering factors, no anomalous dispersion.

Most intense lines, 2θ from 10° to 90°, sorted by position:
2θ = 17.25°, 5.139 Å, I = 14
2θ = 17.56°, 5.051 Å, I = 46
2θ = 22.87°, 3.889 Å, I = 41
2θ = 26.03°, 3.423 Å, I = 25
2θ = 28.97°, 3.082 Å, I = 35
2θ = 29.53°, 3.025 Å, I = 100
2θ = 34.92°, 2.570 Å, I = 48
2θ = 37.88°, 2.375 Å, I = 22
2θ = 44.53°, 2.035 Å, I = 36
2θ = 46.54°, 1.951 Å, I = 17
2θ = 48.15°, 1.890 Å, I = 30
2θ = 57.95°, 1.591 Å, I = 15

Crystal structure
Cell: 6.847 7.483 7.779 Å, 90.00 90.00 90.00°
Space group I222 (No. 23)
Symmetry-distinct sites (fractional):
Li (0.000, 0.000, 0.000) [2 per cell]
Ac (0.000, 0.500, 0.000) [2 per cell]
Hg (0.000, 0.288, 0.500) [4 per cell]
S (0.217, 0.198, 0.177) [8 per cell]

=====

This entry pairs a crystal structure of Li2AcSn2Hg2 with its calculated PXRD pattern. Radiation: Cu Ka. Structure: a crystal structure in Alexandria, relaxed with GGA-PBE.
Neutral-atom scattering factors, no anomalous dispersion.

Most intense lines, 2θ from 10° to 90°, sorted by position:
2θ = 22.56°, 3.941 Å, I = 37
2θ = 25.43°, 3.503 Å, I = 93
2θ = 30.38°, 2.943 Å, I = 21
2θ = 32.09°, 2.789 Å, I = 79
2θ = 37.74°, 2.383 Å, I = 100
2θ = 43.52°, 2.080 Å, I = 34
2θ = 46.06°, 1.971 Å, I = 20
2θ = 49.19°, 1.852 Å, I = 34
2θ = 50.36°, 1.812 Å, I = 23
2θ = 60.24°, 1.536 Å, I = 18
2θ = 64.61°, 1.442 Å, I = 22
2θ = 68.14°, 1.376 Å, I = 18

Crystal structure
Cell: 4.7670 4.7670 26.4826 Å, 90.00 90.00 120.00°
Space group R-3m (No. 166, hexagonal axes)
Symmetry-distinct sites (fractional):
Li (0.0000, 0.0000, 0.1432) [6 per cell]
Ac (0.0000, 0.0000, 0.0000) [3 per cell]
Sn (0.0000, 0.0000, 0.2574) [6 per cell]
Hg (0.0000, 0.0000, 0.4434) [6 per cell]